For LiNi2OF3, the GGA+U geometry in Alexandria gives the calculated powder XRD pattern in this record (CuKα).
Peak positions follow from Bragg's law for the DFT cell and can differ from measured ones.

Structure:
a b c (Å): 6.118 6.118 6.118
angles (deg): 58.49 58.49 58.49
Sites, in units of the cell vectors:
Li 0.146 0.146 0.146
Li 0.854 0.854 0.854
Ni 0.000 0.500 0.500
Ni 0.500 0.000 0.500
Ni 0.500 0.500 0.000
Ni 0.500 0.500 0.500
O 0.273 0.273 0.273
O 0.727 0.727 0.727
F 0.258 0.738 0.738
F 0.262 0.262 0.742
F 0.262 0.742 0.262
F 0.738 0.258 0.738
F 0.738 0.738 0.258
F 0.742 0.262 0.262

Most intense lines, 2θ from 5° to 70°, sorted by position:
- d = 5.052 Å, I = 28
- d = 4.899 Å, I = 100
- d = 2.616 Å, I = 25
- d = 2.572 Å, I = 30
- d = 2.551 Å, I = 18
- d = 2.137 Å, I = 88
- d = 1.941 Å, I = 12
- d = 1.644 Å, I = 13
- d = 1.529 Å, I = 26
- d = 1.494 Å, I = 27